[1]
For MgP2H12O11, a DFT-relaxed cell (PBE, the Materials Project) gives the simulated powder diffraction line list in this record (CuKα).
Intensities are scaled so that the largest is 100.

Crystal structure
```
data_MgP2H12O11
_space_group_name_H-M_alt 'P 1'
_space_group_IT_number 1
_cell_length_a 7.7935
_cell_length_b 7.8961
_cell_length_c 9.2977
_cell_angle_alpha 67.49
_cell_angle_beta 84.89
_cell_angle_gamma 72.94
loop_
_space_group_symop_operation_xyz
'x,y,z'
loop_
_atom_site_label
_atom_site_fract_x
_atom_site_fract_y
_atom_site_fract_z
_atom_site_occupancy
Mg1 0.1421 0.2319 0.2889 1
Mg2 0.8579 0.7681 0.7111 1
P1 0.0843 0.0977 0.6800 1
P2 0.2302 0.4353 0.9140 1
P3 0.7698 0.5647 0.0860 1
P4 0.9157 0.9023 0.3200 1
H1 0.0094 0.3210 0.7854 1
H2 0.1755 0.6316 0.5061 1
H3 0.1773 0.7368 0.8615 1
H4 0.2575 0.8957 0.0734 1
H5 0.2954 0.9777 0.0634 1
H6 0.3138 0.0135 0.8320 1
H7 0.3151 0.4400 0.3834 1
H8 0.3356 0.8338 0.4186 1
H9 0.3590 0.5001 0.5924 1
H10 0.4041 0.4141 0.2320 1
H11 0.4688 0.9615 0.3724 1
H12 0.5000 0.2674 0.8724 1
H13 0.5000 0.7326 0.1276 1
H14 0.5312 0.0385 0.6276 1
H15 0.5959 0.5859 0.7680 1
H16 0.6410 0.4999 0.4076 1
H17 0.6644 0.1662 0.5814 1
H18 0.6849 0.5600 0.6166 1
H19 0.6862 0.9865 0.1680 1
H20 0.7046 0.0223 0.9366 1
H21 0.7425 0.1043 0.9266 1
H22 0.8227 0.2632 0.1385 1
H23 0.8245 0.3684 0.4939 1
H24 0.9906 0.6790 0.2146 1
O1 0.0215 0.7961 0.2115 1
O2 0.0420 0.9068 0.7334 1
O3 0.0503 0.2222 0.5096 1
O4 0.0657 0.4994 0.8083 1
O5 0.2450 0.2717 0.0682 1
O6 0.2594 0.6138 0.9368 1
O7 0.2945 0.0574 0.7194 1
O8 0.3050 0.5821 0.4881 1
O9 0.3299 0.3618 0.3180 1
O10 0.3413 0.9669 0.3842 1
O11 0.4000 0.3723 0.8113 1
O12 0.6000 0.6277 0.1887 1
O13 0.6587 0.0331 0.6158 1
O14 0.6701 0.6382 0.6820 1
O15 0.6950 0.4179 0.5119 1
O16 0.7055 0.9426 0.2806 1
O17 0.7406 0.3862 0.0632 1
O18 0.7550 0.7283 0.9318 1
O19 0.9343 0.5006 0.1917 1
O20 0.9497 0.7778 0.4904 1
O21 0.9580 0.0932 0.2666 1
O22 0.9785 0.2039 0.7885 1
```

Main lines, by angle (15° ≤ 2θ ≤ 90°):
2θ (°)	d/Å	I_rel	(hkl)
19.1	4.640	39	0 1 -1
19.7	4.501	100	1 -1 0
23.1	3.849	96	1 2 1
23.6	3.763	68	1 0 -2
24.2	3.685	40	2 1 1
29.0	3.084	34	0 1 3
32.2	2.777	29	2 0 2
32.5	2.758	38	-1 1 3

***

[2]
For SbH2CSO3F9, a DFT-relaxed cell (PBE, the Materials Project) gives the simulated powder diffraction line list in this record (CuKα).
Intensities are scaled so that the largest is 100.

Crystal structure
```
data_SbH2CSO3F9
_space_group_name_H-M_alt 'P 1'
_space_group_IT_number 1
_cell_length_a 7.6602
_cell_length_b 8.0056
_cell_length_c 9.2790
_cell_angle_alpha 68.63
_cell_angle_beta 73.58
_cell_angle_gamma 84.86
loop_
_space_group_symop_operation_xyz
'x,y,z'
loop_
_atom_site_label
_atom_site_fract_x
_atom_site_fract_y
_atom_site_fract_z
_atom_site_occupancy
Sb1 0.1307 0.3986 0.2489 1
Sb2 0.8693 0.6014 0.7511 1
H1 0.0939 0.1827 0.6300 1
H2 0.2174 0.7643 0.9741 1
H3 0.7826 0.2357 0.0259 1
H4 0.9061 0.8173 0.3700 1
C1 0.4663 0.1748 0.7248 1
C2 0.5337 0.8252 0.2752 1
S1 0.2801 0.0151 0.7540 1
S2 0.7199 0.9849 0.2460 1
O1 0.1124 0.1351 0.7443 1
O2 0.2490 0.9064 0.9303 1
O3 0.3313 0.9274 0.6405 1
O4 0.6687 0.0726 0.3595 1
O5 0.7510 0.0936 0.0697 1
O6 0.8876 0.8649 0.2557 1
F1 0.0804 0.2316 0.1627 1
F2 0.0828 0.2172 0.4652 1
F3 0.1187 0.5399 0.7154 1
F4 0.1827 0.5722 0.3280 1
F5 0.1842 0.5903 0.0331 1
F6 0.3794 0.3339 0.2049 1
F7 0.3807 0.9200 0.2731 1
F8 0.4232 0.2411 0.8434 1
F9 0.4825 0.3061 0.5822 1
F10 0.5175 0.6939 0.4178 1
F11 0.5768 0.7589 0.1566 1
F12 0.6193 0.0800 0.7269 1
F13 0.6206 0.6661 0.7951 1
F14 0.8158 0.4097 0.9669 1
F15 0.8173 0.4278 0.6720 1
F16 0.8813 0.4601 0.2846 1
F17 0.9172 0.7828 0.5348 1
F18 0.9196 0.7684 0.8373 1
```

Main lines, by angle (15° ≤ 2θ ≤ 90°):
2θ (°)	d/Å	I_rel	(hkl)
17.1	5.194	72	1 1 0
19.4	4.574	100	-1 1 1
20.5	4.342	73	1 -1 1
20.7	4.291	51	1 1 2
21.4	4.161	71	0 0 2
22.4	3.967	33	0 2 1
23.7	3.755	31	2 0 1
38.5	2.337	29	3 -1 0